# LuGeRh
Simulated powder diffractogram, λ = 1.5418 Å (Cu Kα). Input: a DFT-relaxed cell (GGA-PBE, the Materials Project).

Top 10 peaks for 2θ from 10° to 80°, in order of falling intensity:
2θ 35.89, I = 100; 2θ 41.77, I = 67; 2θ 34.42, I = 61; 2θ 42.35, I = 40; 2θ 35.67, I = 33; 2θ 68.55, I = 25; 2θ 38.26, I = 21; 2θ 56.53, I = 17; 2θ 23.97, I = 15; 2θ 61.00, I = 15

abc: 6.7723 4.2687 7.5250
angles: 90.00 90.00 90.00
Sites, in units of the cell vectors:
Lu 0.0056 0.2500 0.1970
Lu 0.4944 0.7500 0.6970
Lu 0.5056 0.2500 0.3030
Lu 0.9944 0.7500 0.8030
Ge 0.2160 0.7500 0.3911
Ge 0.2840 0.2500 0.8911
Ge 0.7160 0.7500 0.1089
Ge 0.7840 0.2500 0.6089
Rh 0.1577 0.2500 0.5640
Rh 0.3423 0.7500 0.0640
Rh 0.6577 0.2500 0.9360
Rh 0.8423 0.7500 0.4360

***

# Nb2PC
Simulated powder diffractogram, λ = 1.5418 Å (Cu Kα). Input: a DFT-relaxed cell (GGA-PBE, the Materials Project).

Top 10 peaks for 2θ from 10° to 80°, in order of falling intensity:
2θ 39.05, I = 100; 2θ 31.21, I = 28; 2θ 55.53, I = 27; 2θ 32.16, I = 25; 2θ 64.77, I = 20; 2θ 69.97, I = 17; 2θ 75.47, I = 13; 2θ 30.69, I = 12; 2θ 44.33, I = 11; 2θ 57.30, I = 10

abc: 3.3096 3.3096 11.6543
angles: 90.00 90.00 120.00
Sites, in units of the cell vectors:
Nb 0.3333 0.6667 0.0999
Nb 0.3333 0.6667 0.4001
Nb 0.6667 0.3333 0.5999
Nb 0.6667 0.3333 0.9001
P 0.3333 0.6667 0.7500
P 0.6667 0.3333 0.2500
C 0.0000 0.0000 0.0000
C 0.0000 0.0000 0.5000

***

# Li2SnP2O7
Simulated powder diffractogram, λ = 1.5418 Å (Cu Kα). Input: a DFT-relaxed cell (GGA-PBE, the Materials Project).

Top 10 peaks for 2θ from 10° to 80°, in order of falling intensity:
2θ 16.58, I = 100; 2θ 30.00, I = 35; 2θ 22.37, I = 34; 2θ 30.65, I = 28; 2θ 22.92, I = 26; 2θ 20.73, I = 23; 2θ 31.49, I = 21; 2θ 37.05, I = 20; 2θ 23.34, I = 18; 2θ 32.96, I = 18

abc: 5.5364 14.4479 9.5681
angles: 90.00 123.83 90.00
Sites, in units of the cell vectors:
Li 0.0177 0.1838 0.3165
Li 0.0177 0.3162 0.8165
Li 0.4457 0.0921 0.1499
Li 0.4457 0.4079 0.6499
Li 0.5543 0.5921 0.3501
Li 0.5543 0.9079 0.8501
Li 0.9823 0.6838 0.1835
Li 0.9823 0.8162 0.6835
Sn 0.4682 0.1571 0.7706
Sn 0.4682 0.3429 0.2706
Sn 0.5318 0.6571 0.7294
Sn 0.5318 0.8429 0.2294
P 0.0108 0.5226 0.7201
P 0.0108 0.9774 0.2201
P 0.2451 0.6738 0.9721
P 0.2451 0.8262 0.4721
P 0.7549 0.1738 0.5279
P 0.7549 0.3262 0.0279
P 0.9892 0.0226 0.7799
P 0.9892 0.4774 0.2799
O 0.0258 0.2055 0.5299
O 0.0258 0.2945 0.0299
O 0.1376 0.5629 0.2688
O 0.1376 0.9371 0.7688
O 0.1912 0.5671 0.9159
O 0.1912 0.9329 0.4159
O 0.2059 0.0993 0.8927
O 0.2059 0.4007 0.3927
O 0.2480 0.5054 0.6883
O 0.2480 0.9946 0.1883
O 0.2810 0.7313 0.8495
O 0.2810 0.7687 0.3495
O 0.4769 0.1796 0.3479
O 0.4769 0.3204 0.8479
O 0.5231 0.6796 0.1521
O 0.5231 0.8204 0.6521
O 0.7190 0.2313 0.6505
O 0.7190 0.2687 0.1505
O 0.7520 0.0054 0.8117
O 0.7520 0.4946 0.3117
O 0.7941 0.5993 0.6073
O 0.7941 0.9007 0.1073
O 0.8088 0.0671 0.5841
O 0.8088 0.4329 0.0841
O 0.8624 0.0629 0.2312
O 0.8624 0.4371 0.7312
O 0.9742 0.7055 0.9701
O 0.9742 0.7945 0.4701